Starting from a crystal structure in Alexandria, relaxed with PBE, the powder X-ray diffraction pattern of Dy5Bi5H2 was calculated for Cu Kα X-rays.
Kinematic intensities with the Lorentz-polarization factor, no thermal factor.

Cell and atoms:
Cell: 12.0451 4.2739 11.7130 Å, 90.00 95.20 90.00°
Space group C2/m (No. 12)
Unique sites:
Dy  0.0000  0.0000  0.0000
Dy  0.0879  0.0000  0.3253
Dy  0.1372  0.5000  0.8113
Bi  0.0000  0.5000  0.5000
Bi  0.1612  0.5000  0.1149
Bi  0.1969  0.0000  0.6120
H  0.0547  0.0000  0.8245

Top 8 peaks for 2θ from 15° to 90°, in order of rising 2θ:
| h k l | 2theta | intensity |
| --- | --- | --- |
| 3 1 -1 | 31.1 | 934 |
| 1 1 3 | 32.5 | 1000 |
| 2 0 -4 | 32.9 | 381 |
| 4 0 2 | 34.9 | 318 |
| 0 2 0 | 42.3 | 266 |
| 2 2 -4 | 54.6 | 185 |
| 4 2 2 | 55.9 | 169 |
| 1 1 -7 | 59.3 | 181 |

Starting from a crystal structure in Alexandria, relaxed with PBE, the powder X-ray diffraction pattern of Dy2HgBi was calculated for Cu Kα X-rays.
Kinematic intensities with the Lorentz-polarization factor, no thermal factor.

Cell and atoms:
Cell: 4.1902 24.1292 4.6394 Å, 90.00 90.00 90.00°
Space group Cmcm (No. 63)
Unique sites:
Dy  0.0000  0.0624  0.2500
Dy  0.0000  0.3225  0.2500
Hg  0.0000  0.4561  0.2500
Bi  0.0000  0.1908  0.2500

Top 8 peaks for 2θ from 15° to 90°, in order of rising 2θ:
| h k l | 2theta | intensity |
| --- | --- | --- |
| 1 1 1 | 29.0 | 1000 |
| 0 8 0 | 29.6 | 449 |
| 0 0 2 | 38.8 | 299 |
| 1 7 1 | 39.0 | 771 |
| 2 0 0 | 43.2 | 223 |
| 0 8 2 | 49.6 | 221 |
| 2 8 0 | 53.2 | 179 |
| 2 0 2 | 59.4 | 175 |

Starting from a crystal structure in Alexandria, relaxed with PBE, the powder X-ray diffraction pattern of Dy5HgBi5 was calculated for Cu Kα X-rays.
Kinematic intensities with the Lorentz-polarization factor, no thermal factor.

Cell and atoms:
Cell: 13.5067 6.2491 9.1894 Å, 90.00 109.13 90.00°
Space group C2/m (No. 12)
Unique sites:
Dy  0.0000  0.0000  0.0000
Dy  0.1731  0.5000  0.3463
Dy  0.1788  0.5000  0.8260
Hg  0.0000  0.5000  0.0000
Bi  0.0000  0.5000  0.5000
Bi  0.1460  0.0000  0.3388
Bi  0.1632  0.0000  0.8255

Top 8 peaks for 2θ from 15° to 90°, in order of rising 2θ:
| h k l | 2theta | intensity |
| --- | --- | --- |
| 2 0 2 | 28.4 | 993 |
| 0 2 0 | 28.6 | 1000 |
| 4 0 -2 | 28.8 | 892 |
| 2 0 -4 | 39.2 | 446 |
| 2 2 2 | 40.7 | 769 |
| 4 2 -2 | 41.0 | 701 |
| 2 2 -4 | 49.2 | 450 |
| 6 2 0 | 52.0 | 330 |

Starting from a crystal structure in Alexandria, relaxed with PBE, the powder X-ray diffraction pattern of DyInHgBi was calculated for Cu Kα X-rays.
Kinematic intensities with the Lorentz-polarization factor, no thermal factor.

Cell and atoms:
Cell: 4.5083 4.6332 5.0892 Å, 90.00 90.00 90.00°
Space group Pmmm (No. 47)
Unique sites:
Dy  0.0000  0.0000  0.0000
In  0.0000  0.5000  0.5000
Hg  0.5000  0.0000  0.5000
Bi  0.5000  0.5000  0.0000

Top 8 peaks for 2θ from 15° to 90°, in order of rising 2θ:
| h k l | 2theta | intensity |
| --- | --- | --- |
| 1 1 1 | 32.8 | 1000 |
| 0 0 2 | 35.3 | 207 |
| 0 2 0 | 38.9 | 159 |
| 2 0 0 | 40.0 | 147 |
| 0 2 2 | 53.5 | 127 |
| 1 1 3 | 61.8 | 167 |
| 1 3 1 | 66.6 | 132 |
| 3 1 1 | 68.1 | 124 |

Starting from a crystal structure in Alexandria, relaxed with PBE, the powder X-ray diffraction pattern of DyHo3Bi3 was calculated for Cu Kα X-rays.
Kinematic intensities with the Lorentz-polarization factor, no thermal factor.

Cell and atoms:
Cell: 9.3555 9.3555 9.3555 Å, 90.00 90.00 90.00°
Space group P2_13 (No. 198)
Unique sites:
Dy  0.0730  0.4270  0.5730
Ho  0.0740  0.5740  0.9260
Ho  0.1770  0.1770  0.1770
Ho  0.1767  0.8233  0.3233
Bi  0.0003  0.2508  0.8755

Top 8 peaks for 2θ from 15° to 90°, in order of rising 2θ:
| h k l | 2theta | intensity |
| --- | --- | --- |
| 3 1 0 | 30.2 | 1000 |
| 3 2 1 | 35.9 | 676 |
| 4 0 2 | 43.2 | 180 |
| 4 2 2 | 47.6 | 140 |
| 4 1 3 | 49.7 | 188 |
| 6 1 1 | 61.1 | 298 |
| 5 1 4 | 64.6 | 150 |
| 7 1 2 | 74.5 | 188 |

Starting from a crystal structure in Alexandria, relaxed with PBE, the powder X-ray diffraction pattern of DyHo3Bi was calculated for Cu Kα X-rays.
Kinematic intensities with the Lorentz-polarization factor, no thermal factor.

Cell and atoms:
Cell: 11.4856 8.5977 6.7337 Å, 90.00 90.00 90.00°
Space group Ima2 (No. 46)
Unique sites:
Dy  0.2500  0.2433  0.0000
Ho  0.0291  0.7123  0.4956
Ho  0.2500  0.5741  0.2453
Bi  0.2500  0.5637  0.7621

Top 8 peaks for 2θ from 15° to 90°, in order of rising 2θ:
| h k l | 2theta | intensity |
| --- | --- | --- |
| 2 2 0 | 25.9 | 517 |
| 2 0 2 | 30.8 | 703 |
| 4 0 0 | 31.1 | 780 |
| 1 3 0 | 32.2 | 525 |
| 0 2 2 | 33.8 | 1000 |
| 3 1 2 | 37.1 | 753 |
| 3 3 0 | 39.3 | 579 |
| 4 2 2 | 46.6 | 655 |

Starting from a crystal structure in Alexandria, relaxed with PBE, the powder X-ray diffraction pattern of Dy2BiI2 was calculated for Cu Kα X-rays.
Kinematic intensities with the Lorentz-polarization factor, no thermal factor.

Cell and atoms:
Cell: 4.3894 4.3894 33.8730 Å, 90.00 90.00 120.00°
Space group R-3m (No. 166, hexagonal axes)
Unique sites:
Dy  0.0000  0.0000  0.1152
Bi  0.0000  0.0000  0.5000
I  0.0000  0.0000  0.2747

Top 8 peaks for 2θ from 15° to 90°, in order of rising 2θ:
| h k l | 2theta | intensity |
| --- | --- | --- |
| 0 1 5 | 26.9 | 1000 |
| 0 1 8 | 31.6 | 487 |
| 1 0 10 | 35.5 | 164 |
| 1 1 0 | 41.1 | 440 |
| 1 0 13 | 42.0 | 388 |
| 2 0 5 | 49.8 | 187 |
| 1 1 18 | 65.3 | 202 |
| 2 1 13 | 75.6 | 160 |

Starting from a crystal structure in Alexandria, relaxed with PBE, the powder X-ray diffraction pattern of PrDyBiI was calculated for Cu Kα X-rays.
Kinematic intensities with the Lorentz-polarization factor, no thermal factor.

Cell and atoms:
Cell: 7.8312 7.8312 7.8312 Å, 90.00 90.00 90.00°
Space group F-43m (No. 216)
Unique sites:
Pr  0.0000  0.0000  0.0000
Dy  0.0000  0.0000  0.5000
Bi  0.2500  0.2500  0.2500
I  0.2500  0.2500  0.7500

Top 8 peaks for 2θ from 15° to 90°, in order of rising 2θ:
| h k l | 2theta | intensity |
| --- | --- | --- |
| 1 1 1 | 19.6 | 35 |
| 2 2 0 | 32.3 | 1000 |
| 3 1 1 | 38.1 | 23 |
| 4 0 0 | 46.4 | 185 |
| 4 2 2 | 57.7 | 388 |
| 4 4 0 | 67.7 | 120 |
| 6 2 0 | 77.0 | 168 |
| 4 4 4 | 86.0 | 44 |

Starting from a crystal structure in Alexandria, relaxed with PBE, the powder X-ray diffraction pattern of Dy3InBi2 was calculated for Cu Kα X-rays.
Kinematic intensities with the Lorentz-polarization factor, no thermal factor.

Cell and atoms:
Cell: 8.0947 13.2443 7.3864 Å, 90.00 108.88 90.00°
Space group C2/c (No. 15)
Unique sites:
Dy  0.2384  0.0853  0.4964
Dy  0.2500  0.2500  0.0000
In  0.0000  0.4229  0.7500
Bi  0.0000  0.0857  0.7500
Bi  0.0000  0.2555  0.2500

Top 8 peaks for 2θ from 15° to 90°, in order of rising 2θ:
| h k l | 2theta | intensity |
| --- | --- | --- |
| 1 3 1 | 28.4 | 1000 |
| 2 0 -2 | 28.5 | 497 |
| 3 3 -1 | 39.2 | 423 |
| 2 0 2 | 40.2 | 198 |
| 0 6 0 | 40.9 | 187 |
| 1 3 -3 | 42.0 | 353 |
| 2 6 -2 | 50.6 | 204 |
| 2 6 2 | 58.7 | 130 |

Starting from a crystal structure in Alexandria, relaxed with PBE, the powder X-ray diffraction pattern of Dy6In3Bi was calculated for Cu Kα X-rays.
Kinematic intensities with the Lorentz-polarization factor, no thermal factor.

Cell and atoms:
Cell: 9.8934 17.5745 6.7569 Å, 90.00 90.00 90.00°
Space group Cmc2_1 (No. 36)
Unique sites:
Dy  0.0000  0.0104  0.0000
Dy  0.0000  0.2941  0.0094
Dy  0.1831  0.2699  0.4796
Dy  0.1910  0.4424  0.2241
In  0.0000  0.4133  0.6236
In  0.2036  0.1098  0.2702
Bi  0.0000  0.1520  0.7212

Top 8 peaks for 2θ from 15° to 90°, in order of rising 2θ:
| h k l | 2theta | intensity |
| --- | --- | --- |
| 0 2 2 | 28.3 | 455 |
| 2 4 1 | 30.3 | 817 |
| 3 1 1 | 30.6 | 1000 |
| 1 3 2 | 31.9 | 829 |
| 0 4 2 | 33.5 | 712 |
| 2 2 2 | 33.7 | 509 |
| 3 3 1 | 33.9 | 979 |
| 1 7 0 | 36.9 | 482 |

Starting from a crystal structure in Alexandria, relaxed with PBE, the powder X-ray diffraction pattern of K3DyBi2S6 was calculated for Cu Kα X-rays.
Kinematic intensities with the Lorentz-polarization factor, no thermal factor.

Cell and atoms:
Cell: 7.1540 12.3906 7.7669 Å, 90.00 107.88 90.00°
Space group C2/m (No. 12)
Unique sites:
K  0.0000  0.0000  0.0000
K  0.0000  0.3306  0.0000
Dy  0.0000  0.5000  0.5000
Bi  0.0000  0.1663  0.5000
S  0.2314  0.3375  0.7068
S  0.2442  0.0000  0.7074

Top 8 peaks for 2θ from 15° to 90°, in order of rising 2θ:
| h k l | 2theta | intensity |
| --- | --- | --- |
| 0 0 2 | 24.1 | 190 |
| 1 3 0 | 25.2 | 346 |
| 2 0 0 | 26.2 | 424 |
| 1 3 1 | 29.7 | 1000 |
| 1 3 2 | 37.9 | 216 |
| 2 0 2 | 41.2 | 370 |
| 0 6 0 | 43.8 | 344 |
| 3 3 0 | 45.6 | 207 |